# NaHg2I4
Computed powder diffraction line list, copper Kα. Input: a DFT-relaxed cell (PBE, Alexandria).
Intensities are scaled so that the largest is 100.

Cell and atoms:
```
7
Lattice="7.252 0.000 0.000 0.000 7.252 0.000 0.000 0.000 6.119" Properties=species:S:1:pos:R:3 pbc="T T T"
Na 0.000 0.000 0.000
Hg 0.000 3.626 3.059
Hg 3.626 0.000 3.059
I 1.898 1.898 1.533
I 1.898 5.355 4.586
I 5.355 1.898 4.586
I 5.355 5.355 1.533
```

The 6 most intense peaks (10° ≤ 2θ ≤ 80°), sorted by position:
| 2θ/deg | d [Å] | I_rel |
| --- | --- | --- |
| 14.48 | 6.119 | 22 |
| 17.29 | 5.128 | 29 |
| 22.62 | 3.930 | 100 |
| 34.99 | 2.564 | 32 |
| 38.50 | 2.338 | 50 |
| 42.08 | 2.148 | 38 |